Entry 1:
This entry pairs a crystal structure of Sr3Li with its simulated powder X-ray diffraction pattern. Radiation: λ = 1.5418 Å (Cu Kα). Structure: a cell relaxed with PBE.

Structure:
```
data_Sr3Li
_symmetry_space_group_name_H-M 'I 4/m m m'
_symmetry_Int_Tables_number 139
_symmetry_space_group_name_Hall '-I 4 2'
_cell_length_a 5.6088
_cell_length_b 5.6088
_cell_length_c 12.1520
_cell_angle_alpha 90.00
_cell_angle_beta 90.00
_cell_angle_gamma 90.00
loop_
_atom_site_label
_atom_site_fract_x
_atom_site_fract_y
_atom_site_fract_z
Sr1 0.0000 0.0000 0.0000
Sr2 0.0000 0.5000 0.2500
Li1 0.0000 0.0000 0.5000
```

Main lines, in order of falling intensity (10 to 90 degrees two-theta):
| Position (°2θ) | Rel. int. | index |
| --- | --- | --- |
| 26.84 | 100 | 1 1 2 |
| 31.91 | 32 | 2 0 0 |
| 53.85 | 28 | 3 1 2 |
| 17.41 | 27 | 1 0 1 |
| 43.94 | 26 | 2 0 4 |
| 29.40 | 20 | 0 0 4 |
| 70.56 | 19 | 3 1 6 |
| 50.61 | 17 | 1 1 6 |
| 55.33 | 14 | 2 2 4 |
| 45.76 | 12 | 2 2 0 |

---

Entry 2:
This entry pairs a crystal structure of Mg2Si2O5 with its simulated powder X-ray diffraction pattern. Radiation: λ = 1.5418 Å (Cu Kα). Structure: a cell relaxed with PBE.

Structure:
```
data_Mg2Si2O5
_symmetry_space_group_name_H-M 'P 4/m m m'
_symmetry_Int_Tables_number 123
_symmetry_space_group_name_Hall '-P 4 2'
_cell_length_a 3.6542
_cell_length_b 3.6542
_cell_length_c 6.1249
_cell_angle_alpha 90.00
_cell_angle_beta 90.00
_cell_angle_gamma 90.00
loop_
_atom_site_label
_atom_site_fract_x
_atom_site_fract_y
_atom_site_fract_z
Mg1 0.0000 0.0000 0.0000
Mg2 0.0000 0.0000 0.5000
Si1 0.5000 0.5000 0.2100
O1 0.0000 0.5000 0.2231
O2 0.5000 0.5000 0.5000
```

Main lines, in order of falling intensity (10 to 90 degrees two-theta):
| Position (°2θ) | Rel. int. | index |
| --- | --- | --- |
| 49.91 | 100 | 2 0 0 |
| 38.35 | 96 | 1 0 2 |
| 45.95 | 44 | 1 1 2 |
| 64.65 | 42 | 2 1 2 |
| 34.72 | 30 | 1 1 0 |
| 73.27 | 27 | 2 2 0 |
| 82.13 | 23 | 2 0 4 |
| 29.16 | 16 | 0 0 2 |
| 51.26 | 16 | 1 0 3 |
| 60.46 | 16 | 0 0 4 |

---

Entry 3:
This entry pairs a crystal structure of K2CaPrO4 with its simulated powder X-ray diffraction pattern. Radiation: λ = 1.5418 Å (Cu Kα). Structure: a cell relaxed with PBE.

Structure:
```
data_K2CaPrO4
_symmetry_space_group_name_H-M 'P 1 2/m 1'
_symmetry_Int_Tables_number 10
_symmetry_space_group_name_Hall '-P 2y'
_cell_length_a 6.1770
_cell_length_b 3.6509
_cell_length_c 6.6210
_cell_angle_alpha 90.00
_cell_angle_beta 107.58
_cell_angle_gamma 90.00
loop_
_atom_site_label
_atom_site_fract_x
_atom_site_fract_y
_atom_site_fract_z
K1 0.0000 0.0000 0.0000
K2 0.5000 0.5000 0.0000
Ca1 0.0000 0.5000 0.5000
Pr1 0.5000 0.0000 0.5000
O1 0.2374 0.0000 0.6959
O2 0.2691 0.5000 0.3039
```

Main lines, in order of falling intensity (10 to 90 degrees two-theta):
| Position (°2θ) | Rel. int. | index |
| --- | --- | --- |
| 34.17 | 100 | 1 1 1 |
| 14.03 | 63 | 0 0 1 |
| 30.00 | 53 | 1 1 -1 |
| 28.27 | 50 | 0 0 2 |
| 34.83 | 47 | 2 0 -2 |
| 48.24 | 46 | 2 0 2 |
| 15.05 | 33 | 1 0 0 |
| 50.92 | 30 | 3 1 -1 |
| 30.36 | 26 | 2 0 0 |
| 17.21 | 24 | 1 0 -1 |

---

Entry 4:
This entry pairs a crystal structure of CsSnI3 with its simulated powder X-ray diffraction pattern. Radiation: λ = 1.5418 Å (Cu Kα). Structure: a cell relaxed with PBE.

Structure:
```
data_CsSnI3
_symmetry_space_group_name_H-M 'P 4/m b m'
_symmetry_Int_Tables_number 127
_symmetry_space_group_name_Hall '-P 4 2ab'
_cell_length_a 8.8177
_cell_length_b 8.8177
_cell_length_c 6.3081
_cell_angle_alpha 90.00
_cell_angle_beta 90.00
_cell_angle_gamma 90.00
loop_
_atom_site_label
_atom_site_fract_x
_atom_site_fract_y
_atom_site_fract_z
Cs1 0.0000 0.5000 0.0000
Sn1 0.0000 0.0000 0.5000
I1 0.0000 0.0000 0.0000
I2 0.2098 0.2902 0.5000
```

Main lines, in order of falling intensity (10 to 90 degrees two-theta):
| Position (°2θ) | Rel. int. | index |
| --- | --- | --- |
| 24.64 | 100 | 2 0 1 |
| 28.63 | 87 | 2 2 0 |
| 40.69 | 67 | 2 2 2 |
| 28.30 | 55 | 0 0 2 |
| 50.51 | 29 | 4 0 2 |
| 40.94 | 27 | 4 0 0 |
| 26.66 | 18 | 2 1 1 |
| 35.19 | 18 | 3 1 1 |
| 66.44 | 16 | 2 2 4 |
| 47.93 | 16 | 2 0 3 |

---

Entry 5:
This entry pairs a crystal structure of RbLiMg14 with its simulated powder X-ray diffraction pattern. Radiation: λ = 1.5418 Å (Cu Kα). Structure: a cell relaxed with PBE.

Structure:
```
data_RbLiMg14
_symmetry_space_group_name_H-M 'A m m 2'
_symmetry_Int_Tables_number 38
_symmetry_space_group_name_Hall 'A 2 -2'
_cell_length_a 10.8047
_cell_length_b 6.3891
_cell_length_c 11.4919
_cell_angle_alpha 90.00
_cell_angle_beta 90.00
_cell_angle_gamma 90.00
loop_
_atom_site_label
_atom_site_fract_x
_atom_site_fract_y
_atom_site_fract_z
Rb1 0.0000 0.0000 0.0000
Li1 0.0000 0.0000 0.4979
Mg1 0.0000 0.2473 0.2497
Mg2 0.2463 0.0000 0.6650
Mg3 0.2666 0.0000 0.1705
Mg4 0.2678 0.2437 0.4110
Mg5 0.5000 0.0000 0.5003
Mg6 0.5000 0.0000 0.9992
Mg7 0.5000 0.2480 0.7483
```

Main lines, in order of falling intensity (10 to 90 degrees two-theta):
| Position (°2θ) | Rel. int. | index |
| --- | --- | --- |
| 36.22 | 100 | 2 2 2 |
| 35.39 | 55 | 2 0 4 |
| 33.16 | 43 | 4 0 0 |
| 32.06 | 26 | 0 2 2 |
| 17.88 | 24 | 1 1 1 |
| 66.63 | 20 | 4 2 6 |
| 55.98 | 18 | 0 2 6 |
| 61.25 | 18 | 6 2 2 |
| 22.90 | 17 | 2 1 1 |
| 46.79 | 16 | 4 2 2 |